Record 1
This entry pairs a crystal structure of DyTaN2O with its simulated PXRD pattern. Radiation: Cu Kα (weighted mean of Kα1 and Kα2). Structure: a structure optimized by DFT (PBE).
Peak positions follow from Bragg's law for the DFT cell and can differ from measured ones.

Cell: 7.878 7.889 7.924 Å, 89.98 87.97 89.89°
Sites, in units of the cell vectors:
Dy 0.019 0.252 0.038
Dy 0.037 0.249 0.518
Dy 0.455 0.750 0.981
Dy 0.477 0.752 0.470
Dy 0.523 0.248 0.530
Dy 0.545 0.250 0.019
Dy 0.963 0.751 0.482
Dy 0.981 0.748 0.962
Ta 0.238 0.494 0.755
Ta 0.249 0.491 0.258
Ta 0.254 0.013 0.755
Ta 0.261 0.009 0.242
Ta 0.739 0.991 0.758
Ta 0.746 0.987 0.245
Ta 0.751 0.509 0.742
Ta 0.762 0.506 0.245
N 0.000 0.445 0.299
N 0.000 0.555 0.701
N 0.176 0.249 0.786
N 0.198 0.939 0.003
N 0.210 0.558 0.000
N 0.290 0.048 0.502
N 0.292 0.252 0.186
N 0.305 0.449 0.500
N 0.499 0.056 0.799
N 0.501 0.944 0.201
N 0.695 0.551 0.500
N 0.708 0.748 0.814
N 0.710 0.952 0.498
N 0.790 0.442 0.000
N 0.802 0.061 0.997
N 0.824 0.751 0.214
O 0.002 0.931 0.704
O 0.212 0.752 0.327
O 0.329 0.746 0.717
O 0.499 0.570 0.204
O 0.501 0.430 0.796
O 0.671 0.254 0.283
O 0.788 0.248 0.673
O 0.998 0.069 0.296

Peak list (10 most intense, 10 to 90 degrees two-theta, by angle)
- 31.47°, d 2.842, rel. 30
- 32.05°, d 2.793, rel. 100
- 32.16°, d 2.784, rel. 33
- 32.64°, d 2.743, rel. 31
- 45.83°, d 1.980, rel. 13
- 46.06°, d 1.970, rel. 27
- 56.82°, d 1.620, rel. 13
- 57.56°, d 1.601, rel. 14
- 57.81°, d 1.595, rel. 14
- 57.99°, d 1.590, rel. 13

---

Record 2
This entry pairs a crystal structure of DyTaN2O with its simulated PXRD pattern. Radiation: Cu Kα (weighted mean of Kα1 and Kα2). Structure: a structure optimized by DFT (PBE).
Peak positions follow from Bragg's law for the DFT cell and can differ from measured ones.

Cell: 7.885 7.899 10.991 Å, 90.00 133.92 90.00°
Sites, in units of the cell vectors:
Dy 0.055 0.243 0.028
Dy 0.055 0.257 0.528
Dy 0.443 0.744 0.472
Dy 0.443 0.756 0.972
Dy 0.557 0.244 0.028
Dy 0.557 0.256 0.528
Dy 0.945 0.743 0.472
Dy 0.945 0.757 0.972
Ta 0.017 0.005 0.262
Ta 0.017 0.495 0.762
Ta 0.488 0.504 0.233
Ta 0.488 0.996 0.733
Ta 0.512 0.004 0.267
Ta 0.512 0.496 0.767
Ta 0.983 0.505 0.238
Ta 0.983 0.995 0.738
N 0.033 0.750 0.218
N 0.033 0.750 0.718
N 0.185 0.551 0.000
N 0.185 0.949 0.500
N 0.306 0.049 0.307
N 0.306 0.451 0.807
N 0.465 0.250 0.185
N 0.465 0.250 0.685
N 0.535 0.750 0.315
N 0.535 0.750 0.815
N 0.694 0.549 0.193
N 0.694 0.951 0.693
N 0.815 0.051 0.500
N 0.815 0.449 0.000
N 0.967 0.250 0.282
N 0.967 0.250 0.782
O 0.194 0.551 0.500
O 0.194 0.949 0.000
O 0.316 0.049 0.817
O 0.316 0.451 0.317
O 0.684 0.549 0.683
O 0.684 0.951 0.183
O 0.806 0.051 0.000
O 0.806 0.449 0.500

Peak list (10 most intense, 10 to 90 degrees two-theta, by angle)
- 31.50°, d 2.840, rel. 22
- 32.05°, d 2.793, rel. 100
- 32.59°, d 2.748, rel. 25
- 45.96°, d 1.975, rel. 12
- 46.07°, d 1.970, rel. 10
- 56.79°, d 1.621, rel. 9
- 57.47°, d 1.604, rel. 11
- 57.74°, d 1.597, rel. 10
- 57.88°, d 1.593, rel. 11
- 76.23°, d 1.249, rel. 9

---

Record 3
This entry pairs a crystal structure of Tb3DyPb2N2 with its simulated PXRD pattern. Radiation: Cu Kα (weighted mean of Kα1 and Kα2). Structure: a structure optimized by DFT (PBE).
Peak positions follow from Bragg's law for the DFT cell and can differ from measured ones.

Cell: 3.561 3.561 15.700 Å, 90.00 90.00 120.00°
Sites, in units of the cell vectors:
Tb 0.000 0.000 0.000
Tb 0.000 0.000 0.333
Tb 0.333 0.667 0.500
Dy 0.333 0.667 0.834
Pb 0.000 0.000 0.667
Pb 0.333 0.667 0.166
N 0.667 0.333 0.417
N 0.667 0.333 0.916

Peak list (10 most intense, 10 to 90 degrees two-theta, by angle)
- 28.96°, d 3.084, rel. 22
- 33.74°, d 2.657, rel. 100
- 34.27°, d 2.617, rel. 20
- 45.46°, d 1.995, rel. 16
- 51.32°, d 1.780, rel. 22
- 61.03°, d 1.518, rel. 18
- 62.83°, d 1.479, rel. 17
- 63.17°, d 1.472, rel. 21
- 83.72°, d 1.155, rel. 8
- 85.32°, d 1.138, rel. 15

---

Record 4
This entry pairs a crystal structure of DyTm3Pb2N2 with its simulated PXRD pattern. Radiation: Cu Kα (weighted mean of Kα1 and Kα2). Structure: a structure optimized by DFT (PBE).
Peak positions follow from Bragg's law for the DFT cell and can differ from measured ones.

Cell: 3.506 3.506 15.397 Å, 90.00 90.00 120.00°
Sites, in units of the cell vectors:
Dy 0.000 0.000 0.000
Tm 0.000 0.000 0.334
Tm 0.333 0.667 0.499
Tm 0.333 0.667 0.833
Pb 0.000 0.000 0.665
Pb 0.333 0.667 0.168
N 0.667 0.333 0.416
N 0.667 0.333 0.912

Peak list (10 most intense, 10 to 90 degrees two-theta, by angle)
- 29.42°, d 3.036, rel. 22
- 34.32°, d 2.613, rel. 100
- 34.97°, d 2.566, rel. 20
- 46.33°, d 1.960, rel. 16
- 52.18°, d 1.753, rel. 21
- 62.30°, d 1.490, rel. 18
- 63.95°, d 1.456, rel. 17
- 64.36°, d 1.447, rel. 21
- 85.52°, d 1.135, rel. 8
- 87.00°, d 1.120, rel. 15

---

Record 5
This entry pairs a crystal structure of DyTmPbN with its simulated PXRD pattern. Radiation: Cu Kα (weighted mean of Kα1 and Kα2). Structure: a structure optimized by DFT (PBE).
Peak positions follow from Bragg's law for the DFT cell and can differ from measured ones.

Cell: 3.520 3.520 15.477 Å, 90.00 90.00 120.00°
Sites, in units of the cell vectors:
Dy 0.333 0.667 0.084
Dy 0.667 0.333 0.916
Tm 0.333 0.667 0.418
Tm 0.667 0.333 0.582
Pb 0.333 0.667 0.747
Pb 0.667 0.333 0.253
N 0.000 0.000 0.000
N 0.000 0.000 0.500

Peak list (10 most intense, 10 to 90 degrees two-theta, by angle)
- 29.30°, d 3.048, rel. 22
- 34.17°, d 2.624, rel. 100
- 34.78°, d 2.580, rel. 20
- 46.10°, d 1.969, rel. 16
- 51.96°, d 1.760, rel. 22
- 61.96°, d 1.498, rel. 18
- 63.66°, d 1.462, rel. 17
- 64.05°, d 1.454, rel. 21
- 85.05°, d 1.141, rel. 8
- 86.57°, d 1.124, rel. 15

---

Record 6
This entry pairs a crystal structure of DyTcN2 with its simulated PXRD pattern. Radiation: Cu Kα (weighted mean of Kα1 and Kα2). Structure: a structure optimized by DFT (PBE).
Peak positions follow from Bragg's law for the DFT cell and can differ from measured ones.

Cell: 5.630 3.129 10.708 Å, 90.00 90.00 90.00°
Sites, in units of the cell vectors:
Dy 0.076 0.250 0.148
Dy 0.424 0.750 0.648
Dy 0.576 0.250 0.352
Dy 0.924 0.750 0.852
Tc 0.062 0.750 0.403
Tc 0.438 0.250 0.903
Tc 0.562 0.750 0.097
Tc 0.938 0.250 0.597
N 0.172 0.250 0.754
N 0.250 0.250 0.497
N 0.250 0.750 0.997
N 0.328 0.750 0.254
N 0.672 0.250 0.746
N 0.750 0.250 0.003
N 0.750 0.750 0.503
N 0.828 0.750 0.246

Peak list (10 most intense, 10 to 90 degrees two-theta, by angle)
- 29.63°, d 3.015, rel. 22
- 31.79°, d 2.815, rel. 15
- 32.90°, d 2.723, rel. 24
- 33.47°, d 2.677, rel. 22
- 36.91°, d 2.436, rel. 100
- 41.60°, d 2.171, rel. 12
- 51.73°, d 1.767, rel. 12
- 57.94°, d 1.592, rel. 18
- 62.07°, d 1.495, rel. 13
- 69.22°, d 1.357, rel. 13

---

Record 7
This entry pairs a crystal structure of Na2DyO4 with its simulated PXRD pattern. Radiation: Cu Kα (weighted mean of Kα1 and Kα2). Structure: a structure optimized by DFT (PBE).
Peak positions follow from Bragg's law for the DFT cell and can differ from measured ones.

Cell: 6.733 6.733 6.733 Å, 60.00 60.00 60.00°
Sites, in units of the cell vectors:
Na 0.000 0.000 0.000
Na 0.000 0.000 0.500
Na 0.000 0.500 0.000
Na 0.500 0.000 0.000
Dy 0.375 0.375 0.375
Dy 0.625 0.625 0.625
O 0.239 0.754 0.754
O 0.246 0.246 0.246
O 0.246 0.246 0.761
O 0.246 0.761 0.246
O 0.754 0.239 0.754
O 0.754 0.754 0.239
O 0.754 0.754 0.754
O 0.761 0.246 0.246

Peak list (10 most intense, 10 to 90 degrees two-theta, by angle)
- 16.12°, d 5.497, rel. 61
- 26.48°, d 3.366, rel. 100
- 31.15°, d 2.871, rel. 97
- 41.33°, d 2.184, rel. 20
- 46.74°, d 1.944, rel. 43
- 49.76°, d 1.832, rel. 36
- 54.52°, d 1.683, rel. 37
- 61.61°, d 1.505, rel. 19
- 74.59°, d 1.272, rel. 22
- 76.91°, d 1.240, rel. 20

---

Record 8
This entry pairs a crystal structure of Na3Tb2DyPb3 with its simulated PXRD pattern. Radiation: Cu Kα (weighted mean of Kα1 and Kα2). Structure: a structure optimized by DFT (PBE).
Peak positions follow from Bragg's law for the DFT cell and can differ from measured ones.

Cell: 5.212 5.212 10.505 Å, 90.00 90.00 120.00°
Sites, in units of the cell vectors:
Na 0.000 0.000 0.000
Na 0.333 0.667 0.317
Na 0.333 0.667 0.683
Tb 0.667 0.333 0.166
Tb 0.667 0.333 0.834
Dy 0.667 0.333 0.500
Pb 0.000 0.000 0.341
Pb 0.000 0.000 0.659
Pb 0.333 0.667 0.000

Peak list (10 most intense, 10 to 90 degrees two-theta, by angle)
- 21.43°, d 4.147, rel. 43
- 26.03°, d 3.423, rel. 19
- 32.36°, d 2.767, rel. 100
- 34.41°, d 2.606, rel. 83
- 47.96°, d 1.897, rel. 34
- 60.35°, d 1.534, rel. 34
- 61.65°, d 1.505, rel. 16
- 64.07°, d 1.453, rel. 27
- 81.69°, d 1.179, rel. 15
- 85.00°, d 1.141, rel. 13